[1]
Calculated powder XRD pattern
Compound: Mg3BeOs
Radiation: copper Kα
Structure: the GGA-PBE geometry in Alexandria
No peak broadening, texture or thermal motion is included.

Most intense lines, 10 to 90 degrees two-theta, low angle first:
2theta	I (rel.)
19.75	97
28.07	100
34.56	93
40.12	51
45.09	49
49.67	43
58.03	34
69.33	37

Cell and atoms:
Cell lengths 4.4956, 4.4956, 4.4956 Å; angles 90.00, 90.00, 90.00 degrees
Fractional coordinates of all 5 atoms:
Mg (0.0000, 0.0000, 0.5000)
Mg (0.0000, 0.5000, 0.0000)
Mg (0.5000, 0.0000, 0.0000)
Be (0.0000, 0.0000, 0.0000)
Os (0.5000, 0.5000, 0.5000)

[2]
Calculated powder XRD pattern
Compound: IrCO2F
Radiation: copper Kα
Structure: the GGA-PBE geometry in Alexandria
No peak broadening, texture or thermal motion is included.

Most intense lines, 10 to 90 degrees two-theta, low angle first:
2theta	I (rel.)
20.82	62
23.36	100
31.49	78
33.27	36
47.77	23
48.95	28
58.34	28
70.78	27

Cell and atoms:
Cell lengths 3.8082, 3.8082, 4.2655 Å; angles 90.00, 90.00, 90.00 degrees
Fractional coordinates of all 5 atoms:
Ir (0.0000, 0.0000, 0.0000)
C (0.5000, 0.5000, 0.5000)
O (0.0000, 0.5000, 0.0000)
O (0.5000, 0.0000, 0.0000)
F (0.0000, 0.0000, 0.5000)

[3]
Calculated powder XRD pattern
Compound: RbNpTc2O8
Radiation: copper Kα
Structure: the GGA-PBE geometry in Alexandria
No peak broadening, texture or thermal motion is included.

Most intense lines, 10 to 90 degrees two-theta, low angle first:
2theta	I (rel.)
11.07	22
17.08	46
20.40	100
28.18	97
29.82	73
41.49	42
51.92	36
55.25	29

Cell and atoms:
Cell lengths 5.9932, 5.9932, 7.9933 Å; angles 90.00, 90.00, 120.00 degrees
Fractional coordinates of all 12 atoms:
Rb (0.0000, 0.0000, 0.0000)
Np (0.0000, 0.0000, 0.5000)
Tc (0.3333, 0.6667, 0.7489)
Tc (0.6667, 0.3333, 0.2511)
O (0.1584, 0.3352, 0.6678)
O (0.1768, 0.8416, 0.6678)
O (0.3333, 0.6667, 0.9670)
O (0.3352, 0.1768, 0.3322)
O (0.6648, 0.8232, 0.6678)
O (0.6667, 0.3333, 0.0330)
O (0.8232, 0.1584, 0.3322)
O (0.8416, 0.6648, 0.3322)

[4]
Calculated powder XRD pattern
Compound: NdHo6Th4
Radiation: copper Kα
Structure: the GGA-PBE geometry in Alexandria
No peak broadening, texture or thermal motion is included.

Most intense lines, 10 to 90 degrees two-theta, low angle first:
2theta	I (rel.)
27.05	27
28.88	18
30.49	56
31.49	100
33.81	36
36.41	45
54.83	20
63.35	26

Cell and atoms:
Cell lengths 18.1766, 18.1766, 18.1766 Å; angles 169.17, 161.44, 21.54 degrees
Fractional coordinates of all 11 atoms:
Nd (0.0000, 0.0000, 0.0000)
Ho (0.0970, 0.5970, 0.5000)
Ho (0.2671, 0.7671, 0.5000)
Ho (0.3684, 0.8684, 0.5000)
Ho (0.6316, 0.1316, 0.5000)
Ho (0.7329, 0.2329, 0.5000)
Ho (0.9030, 0.4030, 0.5000)
Th (0.1825, 0.1825, 0.0000)
Th (0.4554, 0.4554, 0.0000)
Th (0.5446, 0.5446, 0.0000)
Th (0.8175, 0.8175, 0.0000)

[5]
Calculated powder XRD pattern
Compound: KEr2Cl7
Radiation: copper Kα
Structure: the GGA-PBE geometry in Alexandria
No peak broadening, texture or thermal motion is included.

Most intense lines, 10 to 90 degrees two-theta, low angle first:
2theta	I (rel.)
13.10	100
14.65	40
19.39	41
20.00	29
25.67	22
25.89	34
31.68	21
34.89	23

Cell and atoms:
Cell lengths 6.9090, 12.5295, 13.5235 Å; angles 90.00, 92.00, 90.00 degrees
Fractional coordinates of all 40 atoms:
K (0.2029, 0.2135, 0.4761)
K (0.2029, 0.2865, 0.9761)
K (0.7971, 0.7135, 0.0239)
K (0.7971, 0.7865, 0.5239)
Er (0.2230, 0.5358, 0.2588)
Er (0.2230, 0.9642, 0.7588)
Er (0.2776, 0.6613, 0.7546)
Er (0.2776, 0.8387, 0.2546)
Er (0.7224, 0.1613, 0.7454)
Er (0.7224, 0.3387, 0.2454)
Er (0.7770, 0.0358, 0.2412)
Er (0.7770, 0.4642, 0.7412)
Cl (0.0050, 0.7022, 0.3189)
Cl (0.0050, 0.7978, 0.8189)
Cl (0.0231, 0.5697, 0.6262)
Cl (0.0231, 0.9303, 0.1262)
Cl (0.0641, 0.5294, 0.8674)
Cl (0.0641, 0.9706, 0.3674)
Cl (0.2484, 0.6860, 0.1126)
Cl (0.2484, 0.8140, 0.6126)
Cl (0.4534, 0.0592, 0.6295)
Cl (0.4534, 0.4408, 0.1295)
Cl (0.4561, 0.0942, 0.8703)
Cl (0.4561, 0.4058, 0.3703)
Cl (0.4834, 0.6752, 0.3324)
Cl (0.4834, 0.8248, 0.8324)
Cl (0.5166, 0.1752, 0.1676)
Cl (0.5166, 0.3248, 0.6676)
Cl (0.5439, 0.5942, 0.6297)
Cl (0.5439, 0.9058, 0.1297)
Cl (0.5466, 0.5592, 0.8705)
Cl (0.5466, 0.9408, 0.3705)
Cl (0.7516, 0.1860, 0.3874)
Cl (0.7516, 0.3140, 0.8874)
Cl (0.9359, 0.0294, 0.6326)
Cl (0.9359, 0.4706, 0.1326)
Cl (0.9769, 0.0697, 0.8738)
Cl (0.9769, 0.4303, 0.3738)
Cl (0.9950, 0.2022, 0.1811)
Cl (0.9950, 0.2978, 0.6811)

[6]
Calculated powder XRD pattern
Compound: CaPuSiO5
Radiation: copper Kα
Structure: the GGA-PBE geometry in Alexandria
No peak broadening, texture or thermal motion is included.

Most intense lines, 10 to 90 degrees two-theta, low angle first:
2theta	I (rel.)
16.82	100
19.20	36
25.74	74
27.81	38
31.69	44
32.23	42
34.23	22
48.58	23

Cell and atoms:
Cell lengths 5.7580, 5.7580, 7.6347 Å; angles 102.27, 102.27, 106.78 degrees
Fractional coordinates of all 16 atoms:
Ca (0.1554, 0.8446, 0.7500)
Ca (0.8446, 0.1554, 0.2500)
Pu (0.5000, 0.5000, 0.0000)
Pu (0.5000, 0.5000, 0.5000)
Si (0.1797, 0.8203, 0.2500)
Si (0.8203, 0.1797, 0.7500)
O (0.0908, 0.2267, 0.9059)
O (0.1621, 0.5924, 0.3536)
O (0.2267, 0.0908, 0.4059)
O (0.4025, 0.5975, 0.7500)
O (0.4076, 0.8379, 0.1464)
O (0.5924, 0.1621, 0.8536)
O (0.5975, 0.4025, 0.2500)
O (0.7733, 0.9092, 0.5941)
O (0.8379, 0.4076, 0.6464)
O (0.9092, 0.7733, 0.0941)

[7]
Calculated powder XRD pattern
Compound: Y2Hf3Ge4
Radiation: copper Kα
Structure: the GGA-PBE geometry in Alexandria
No peak broadening, texture or thermal motion is included.

Most intense lines, 10 to 90 degrees two-theta, low angle first:
2theta	I (rel.)
34.58	100
34.93	74
35.27	99
35.42	66
38.88	78
39.40	86
39.57	44
59.61	45

Cell and atoms:
Cell lengths 7.4067, 7.3898, 7.2167 Å; angles 90.00, 109.86, 90.00 degrees
Fractional coordinates of all 18 atoms:
Y (0.1878, 0.1716, 0.0626)
Y (0.1878, 0.3284, 0.5626)
Y (0.8122, 0.6716, 0.4374)
Y (0.8122, 0.8284, 0.9374)
Hf (0.2522, 0.6732, 0.2479)
Hf (0.2522, 0.8268, 0.7479)
Hf (0.5000, 0.0000, 0.5000)
Hf (0.5000, 0.5000, 0.0000)
Hf (0.7478, 0.1732, 0.2521)
Hf (0.7478, 0.3268, 0.7521)
Ge (0.0847, 0.5363, 0.8534)
Ge (0.0847, 0.9637, 0.3534)
Ge (0.4887, 0.1341, 0.8619)
Ge (0.4887, 0.3659, 0.3619)
Ge (0.5113, 0.6341, 0.6381)
Ge (0.5113, 0.8659, 0.1381)
Ge (0.9153, 0.0363, 0.6466)
Ge (0.9153, 0.4637, 0.1466)

[8]
Calculated powder XRD pattern
Compound: Y6Ir5
Radiation: copper Kα
Structure: the GGA-PBE geometry in Alexandria
No peak broadening, texture or thermal motion is included.

Most intense lines, 10 to 90 degrees two-theta, low angle first:
2theta	I (rel.)
25.79	9
36.79	52
37.33	100
53.01	18
54.62	8
66.62	36
67.67	17
79.59	11

Cell and atoms:
Cell lengths 8.4302, 8.4302, 8.4302 Å; angles 146.34, 133.01, 59.04 degrees
Fractional coordinates of all 11 atoms:
Y (0.0824, 0.3343, 0.7481)
Y (0.2481, 0.0000, 0.2481)
Y (0.4138, 0.6657, 0.7481)
Y (0.5862, 0.3343, 0.2519)
Y (0.7519, 0.0000, 0.7519)
Y (0.9176, 0.6657, 0.2519)
Ir (0.1681, 0.1681, 0.0000)
Ir (0.3340, 0.8340, 0.5000)
Ir (0.5000, 0.5000, 0.0000)
Ir (0.6660, 0.1660, 0.5000)
Ir (0.8319, 0.8319, 0.0000)

[9]
Calculated powder XRD pattern
Compound: Zn15Ni
Radiation: copper Kα
Structure: the GGA-PBE geometry in Alexandria
No peak broadening, texture or thermal motion is included.

Most intense lines, 10 to 90 degrees two-theta, low angle first:
2theta	I (rel.)
38.42	24
39.47	29
43.41	100
56.26	15
69.49	15
74.32	17
82.97	18
85.59	12

Cell and atoms:
Cell lengths 5.4108, 5.4108, 9.1318 Å; angles 90.00, 90.00, 120.00 degrees
Fractional coordinates of all 16 atoms:
Zn (0.0000, 0.0000, 0.0000)
Zn (0.0041, 0.5021, 0.5000)
Zn (0.3287, 0.1643, 0.2603)
Zn (0.3287, 0.1643, 0.7397)
Zn (0.3333, 0.6667, 0.2447)
Zn (0.3333, 0.6667, 0.7553)
Zn (0.4979, 0.5021, 0.5000)
Zn (0.4979, 0.9959, 0.5000)
Zn (0.5019, 0.0038, 0.0000)
Zn (0.5019, 0.4981, 0.0000)
Zn (0.8357, 0.1643, 0.2603)
Zn (0.8357, 0.1643, 0.7397)
Zn (0.8357, 0.6713, 0.2603)
Zn (0.8357, 0.6713, 0.7397)
Zn (0.9962, 0.4981, 0.0000)
Ni (0.0000, 0.0000, 0.5000)

[10]
Calculated powder XRD pattern
Compound: CaCd4In3
Radiation: copper Kα
Structure: the GGA-PBE geometry in Alexandria
No peak broadening, texture or thermal motion is included.

Most intense lines, 10 to 90 degrees two-theta, low angle first:
2theta	I (rel.)
26.99	75
31.73	52
31.89	55
34.29	100
34.88	99
35.65	82
41.36	62
66.29	45

Cell and atoms:
Cell lengths 20.9318, 3.3492, 6.0507 Å; angles 90.00, 105.72, 90.00 degrees
Fractional coordinates of all 16 atoms:
Ca (0.0000, 0.0000, 0.0000)
Ca (0.5000, 0.5000, 0.0000)
Cd (0.1292, 0.5000, 0.3723)
Cd (0.2367, 0.0000, 0.7274)
Cd (0.2633, 0.5000, 0.2726)
Cd (0.3708, 0.0000, 0.6277)
Cd (0.6292, 0.0000, 0.3723)
Cd (0.7367, 0.5000, 0.7274)
Cd (0.7633, 0.0000, 0.2726)
Cd (0.8708, 0.5000, 0.6277)
In (0.0000, 0.5000, 0.5000)
In (0.1317, 0.5000, 0.8895)
In (0.3683, 0.0000, 0.1105)
In (0.5000, 0.0000, 0.5000)
In (0.6317, 0.0000, 0.8895)
In (0.8683, 0.5000, 0.1105)

[11]
Calculated powder XRD pattern
Compound: LaZnSi2Au6
Radiation: copper Kα
Structure: the GGA-PBE geometry in Alexandria
No peak broadening, texture or thermal motion is included.

Most intense lines, 10 to 90 degrees two-theta, low angle first:
2theta	I (rel.)
12.57	81
16.02	97
25.28	50
29.83	100
31.50	90
37.28	65
42.60	60
45.24	82

Cell and atoms:
Cell lengths 8.0143, 8.0143, 8.0143 Å; angles 48.77, 48.77, 48.77 degrees
Fractional coordinates of all 10 atoms:
La (0.0000, 0.0000, 0.0000)
Zn (0.5000, 0.5000, 0.5000)
Si (0.2925, 0.2925, 0.2925)
Si (0.7075, 0.7075, 0.7075)
Au (0.1263, 0.6066, 0.4713)
Au (0.3934, 0.5287, 0.8737)
Au (0.4713, 0.1263, 0.6066)
Au (0.5287, 0.8737, 0.3934)
Au (0.6066, 0.4713, 0.1263)
Au (0.8737, 0.3934, 0.5287)

[12]
Calculated powder XRD pattern
Compound: Ce2PrGa2Ni2
Radiation: copper Kα
Structure: the GGA-PBE geometry in Alexandria
No peak broadening, texture or thermal motion is included.

Most intense lines, 10 to 90 degrees two-theta, low angle first:
2theta	I (rel.)
10.05	13
23.92	24
33.66	100
36.22	32
41.64	73
54.42	13
54.57	25
70.91	22

Cell and atoms:
Cell lengths 9.1535, 9.1535, 9.1535 Å; angles 27.41, 27.41, 27.41 degrees
Fractional coordinates of all 7 atoms:
Ce (0.1395, 0.1395, 0.1395)
Ce (0.8605, 0.8605, 0.8605)
Pr (0.0000, 0.0000, 0.0000)
Ga (0.2599, 0.2599, 0.2599)
Ga (0.7401, 0.7401, 0.7401)
Ni (0.4236, 0.4236, 0.4236)
Ni (0.5764, 0.5764, 0.5764)

Which formula does entry 3 have? RbNpTc2O8